# 1
LiNi4P2: simulated X-ray diffraction stick pattern (λ = 1.5418 Å (Cu Kα)), based on a PBE-relaxed structure.
Intensities are scaled so that the largest is 1000.

Structure:
```
LiNi4P2
1.0
6.9509 0.0000 0.0000
0.0000 6.9509 0.0000
0.0000 0.0000 3.5080
Li Ni P
2 8 4
Direct
0.0000 0.0000 0.0000 Li
0.5000 0.5000 0.5000 Li
0.0737 0.3270 0.5000 Ni
0.1730 0.5737 0.0000 Ni
0.3270 0.0737 0.5000 Ni
0.4263 0.8270 0.0000 Ni
0.5737 0.1730 0.0000 Ni
0.6730 0.9263 0.5000 Ni
0.8270 0.4263 0.0000 Ni
0.9263 0.6730 0.5000 Ni
0.2347 0.7653 0.5000 P
0.2653 0.2653 0.0000 P
0.7347 0.7347 0.0000 P
0.7653 0.2347 0.5000 P
```

Peak list (10 most intense, 2θ from 15° to 90°, sorted by position)
d = 4.915 Å, 18.05 deg, I 1000
d = 3.132 Å, 28.50 deg, I 201
d = 2.327 Å, 38.70 deg, I 688
d = 2.198 Å, 41.06 deg, I 264
d = 2.013 Å, 45.04 deg, I 514
d = 1.933 Å, 47.00 deg, I 255
d = 1.863 Å, 48.90 deg, I 704
d = 1.754 Å, 52.15 deg, I 285
d = 1.686 Å, 54.42 deg, I 329
d = 1.215 Å, 78.73 deg, I 206

---

# 2
SrSnAu2: simulated X-ray diffraction stick pattern (λ = 1.5418 Å (Cu Kα)), based on a PBE-relaxed structure.
Intensities are scaled so that the largest is 1000.

Structure:
```
SrSnAu2
1.0
8.3832 0.0000 0.0000
0.0000 7.2679 0.0000
0.0000 0.0000 6.7230
Sr Sn Au
4 4 8
Direct
0.0193 0.2500 0.1648 Sr
0.4807 0.7500 0.6648 Sr
0.5193 0.2500 0.3352 Sr
0.9807 0.7500 0.8352 Sr
0.1080 0.7500 0.3419 Sn
0.3920 0.2500 0.8419 Sn
0.6080 0.7500 0.1581 Sn
0.8920 0.2500 0.6581 Sn
0.2020 0.0506 0.5638 Au
0.2020 0.4494 0.5638 Au
0.2980 0.5506 0.0638 Au
0.2980 0.9494 0.0638 Au
0.7020 0.0506 0.9362 Au
0.7020 0.4494 0.9362 Au
0.7980 0.5506 0.4362 Au
0.7980 0.9494 0.4362 Au
```

Peak list (10 most intense, 2θ from 15° to 90°, sorted by position)
d = 5.245 Å, 16.90 deg, I 446
d = 4.192 Å, 21.20 deg, I 462
d = 3.120 Å, 28.61 deg, I 445
d = 2.867 Å, 31.20 deg, I 580
d = 2.746 Å, 32.61 deg, I 1000
d = 2.622 Å, 34.19 deg, I 489
d = 2.580 Å, 34.77 deg, I 777
d = 2.468 Å, 36.41 deg, I 604
d = 2.367 Å, 38.01 deg, I 742
d = 2.199 Å, 41.04 deg, I 845

---

# 3
Pr5TmAu6: simulated X-ray diffraction stick pattern (λ = 1.5418 Å (Cu Kα)), based on a PBE-relaxed structure.
Intensities are scaled so that the largest is 1000.

Structure:
```
Pr5TmAu6
1.0
8.3000 -3.7127 0.0000
8.3000 3.7127 0.0000
-1.6422 0.0000 4.9812
Pr Tm Au
5 1 6
Direct
0.0000 0.0000 0.0000 Pr
0.1642 0.1642 0.6647 Pr
0.3296 0.3296 0.3300 Pr
0.6704 0.6704 0.6700 Pr
0.8358 0.8358 0.3353 Pr
0.5000 0.5000 0.0000 Tm
0.1047 0.5776 0.8412 Au
0.2756 0.7244 0.5000 Au
0.4224 0.8953 0.1588 Au
0.5776 0.1047 0.8412 Au
0.7244 0.2756 0.5000 Au
0.8953 0.4224 0.1588 Au
```

Peak list (10 most intense, 2θ from 15° to 90°, sorted by position)
d = 2.625 Å, 34.16 deg, I 1000
d = 1.858 Å, 49.04 deg, I 116
d = 1.853 Å, 49.16 deg, I 60
d = 1.517 Å, 61.11 deg, I 176
d = 1.515 Å, 61.19 deg, I 177
d = 1.314 Å, 71.87 deg, I 52
d = 1.311 Å, 72.01 deg, I 54
d = 1.176 Å, 81.95 deg, I 38
d = 1.174 Å, 82.07 deg, I 57
d = 1.173 Å, 82.21 deg, I 38

---

# 4
Gd3Se3N: simulated X-ray diffraction stick pattern (λ = 1.5418 Å (Cu Kα)), based on a PBE-relaxed structure.
Intensities are scaled so that the largest is 1000.

Structure:
```
Gd3Se3N
1.0
12.7014 0.0000 0.0000
0.0000 4.0149 0.0000
0.0000 0.0000 13.2547
Gd Se N
12 12 4
Direct
0.0425 0.2500 0.1513 Gd
0.0643 0.2500 0.6324 Gd
0.2046 0.2500 0.8589 Gd
0.2954 0.7500 0.3589 Gd
0.4357 0.7500 0.1324 Gd
0.4575 0.7500 0.6513 Gd
0.5425 0.2500 0.3487 Gd
0.5643 0.2500 0.8676 Gd
0.7046 0.2500 0.6411 Gd
0.7954 0.7500 0.1411 Gd
0.9357 0.7500 0.3676 Gd
0.9575 0.7500 0.8487 Gd
0.0961 0.2500 0.3953 Se
0.1296 0.7500 0.9950 Se
0.2234 0.7500 0.6880 Se
0.2766 0.2500 0.1880 Se
0.3704 0.2500 0.4950 Se
0.4039 0.7500 0.8953 Se
0.5961 0.2500 0.1047 Se
0.6296 0.7500 0.5050 Se
0.7234 0.7500 0.8120 Se
0.7766 0.2500 0.3120 Se
0.8704 0.2500 0.0050 Se
0.9039 0.7500 0.6047 Se
0.0379 0.2500 0.7966 N
0.4621 0.7500 0.2966 N
0.5379 0.2500 0.7034 N
0.9621 0.7500 0.2034 N
```

Peak list (10 most intense, 2θ from 15° to 90°, sorted by position)
d = 3.568 Å, 24.96 deg, I 357
d = 3.394 Å, 26.26 deg, I 425
d = 3.314 Å, 26.90 deg, I 851
d = 2.893 Å, 30.91 deg, I 506
d = 2.845 Å, 31.44 deg, I 470
d = 2.667 Å, 33.60 deg, I 675
d = 2.492 Å, 36.05 deg, I 294
d = 2.371 Å, 37.95 deg, I 1000
d = 2.007 Å, 45.17 deg, I 403
d = 1.873 Å, 48.62 deg, I 216

---

# 5
Li4SiAu3: simulated X-ray diffraction stick pattern (λ = 1.5418 Å (Cu Kα)), based on a PBE-relaxed structure.
Intensities are scaled so that the largest is 1000.

Structure:
```
Li4SiAu3
1.0
3.2327 0.0000 0.0000
0.0000 3.2327 0.0000
0.0000 0.0000 11.3169
Li Si Au
4 1 3
Direct
0.0000 0.0000 0.1205 Li
0.0000 0.0000 0.3723 Li
0.0000 0.0000 0.6277 Li
0.0000 0.0000 0.8795 Li
0.5000 0.5000 0.0000 Si
0.5000 0.5000 0.2401 Au
0.5000 0.5000 0.5000 Au
0.5000 0.5000 0.7599 Au
```

Peak list (10 most intense, 2θ from 15° to 90°, sorted by position)
d = 3.233 Å, 27.59 deg, I 1000
d = 2.829 Å, 31.62 deg, I 340
d = 2.455 Å, 36.61 deg, I 159
d = 2.286 Å, 39.42 deg, I 450
d = 2.129 Å, 42.46 deg, I 704
d = 1.778 Å, 51.39 deg, I 355
d = 1.616 Å, 56.97 deg, I 177
d = 1.446 Å, 64.45 deg, I 248
d = 1.403 Å, 66.64 deg, I 165
d = 1.287 Å, 73.57 deg, I 284

---

# 6
Al6FeCu3: simulated X-ray diffraction stick pattern (λ = 1.5418 Å (Cu Kα)), based on a PBE-relaxed structure.
Intensities are scaled so that the largest is 1000.

Structure:
```
Al6FeCu3
1.0
7.1334 0.0000 0.0000
0.0000 9.9260 0.0000
0.0000 0.0000 4.0993
Al Fe Cu
12 2 6
Direct
0.0075 0.2471 0.0000 Al
0.1492 0.0756 0.5000 Al
0.1926 0.3880 0.5000 Al
0.3074 0.8880 0.0000 Al
0.3508 0.5756 0.0000 Al
0.4925 0.7471 0.5000 Al
0.5075 0.2529 0.5000 Al
0.6492 0.4244 0.0000 Al
0.6926 0.1120 0.0000 Al
0.8074 0.6120 0.5000 Al
0.8508 0.9244 0.5000 Al
0.9925 0.7529 0.0000 Al
0.0000 0.0000 0.0000 Fe
0.5000 0.5000 0.5000 Fe
0.0000 0.5000 0.0000 Cu
0.1649 0.6403 0.5000 Cu
0.3351 0.1403 0.0000 Cu
0.5000 0.0000 0.5000 Cu
0.6649 0.8597 0.0000 Cu
0.8351 0.3597 0.5000 Cu
```

Peak list (10 most intense, 2θ from 15° to 90°, sorted by position)
d = 4.963 Å, 17.87 deg, I 182
d = 4.074 Å, 21.82 deg, I 302
d = 2.892 Å, 30.92 deg, I 166
d = 2.575 Å, 34.85 deg, I 254
d = 2.365 Å, 38.04 deg, I 215
d = 2.057 Å, 44.03 deg, I 773
d = 2.050 Å, 44.19 deg, I 401
d = 2.035 Å, 44.51 deg, I 1000
d = 1.445 Å, 64.49 deg, I 218
d = 1.184 Å, 81.22 deg, I 225

---

# 7
Cs2HoF6: simulated X-ray diffraction stick pattern (λ = 1.5418 Å (Cu Kα)), based on a PBE-relaxed structure.
Intensities are scaled so that the largest is 1000.

Structure:
```
Cs2HoF6
1.0
6.8309 -3.5289 0.0000
6.8309 3.5289 0.0000
-0.9090 0.0000 3.9774
Cs Ho F
2 1 6
Direct
0.1674 0.1674 0.1564 Cs
0.8326 0.8326 0.8436 Cs
0.5000 0.5000 0.5000 Ho
0.1716 0.5707 0.3743 F
0.3239 0.6761 0.0000 F
0.4293 0.8284 0.6257 F
0.5707 0.1716 0.3743 F
0.6761 0.3239 0.0000 F
0.8284 0.4293 0.6257 F
```

Peak list (10 most intense, 2θ from 15° to 90°, sorted by position)
d = 3.758 Å, 23.68 deg, I 874
d = 3.525 Å, 25.26 deg, I 1000
d = 3.122 Å, 28.59 deg, I 156
d = 2.890 Å, 30.95 deg, I 126
d = 2.338 Å, 38.50 deg, I 332
d = 2.236 Å, 40.34 deg, I 291
d = 2.220 Å, 40.64 deg, I 131
d = 2.079 Å, 43.54 deg, I 180
d = 2.035 Å, 44.52 deg, I 271
d = 1.938 Å, 46.88 deg, I 130

---

# 8
LaAl4Ir2Os: simulated X-ray diffraction stick pattern (λ = 1.5418 Å (Cu Kα)), based on a PBE-relaxed structure.
Intensities are scaled so that the largest is 1000.

Structure:
```
LaAl4Ir2Os
1.0
2.1255 1.2271 9.0015
-2.1255 1.2271 9.0015
0.0000 -2.4543 9.0015
La Al Ir Os
1 4 2 1
Direct
0.0000 0.0000 0.0000 La
0.1341 0.1341 0.1341 Al
0.4082 0.4082 0.4082 Al
0.5918 0.5918 0.5918 Al
0.8659 0.8659 0.8659 Al
0.2344 0.2344 0.2344 Ir
0.7656 0.7656 0.7656 Ir
0.5000 0.5000 0.5000 Os
```

Peak list (10 most intense, 2θ from 15° to 90°, sorted by position)
d = 3.232 Å, 27.60 deg, I 1000
d = 2.488 Å, 36.10 deg, I 592
d = 2.125 Å, 42.53 deg, I 611
d = 2.042 Å, 44.35 deg, I 199
d = 1.776 Å, 51.46 deg, I 186
d = 1.616 Å, 56.98 deg, I 160
d = 1.545 Å, 59.86 deg, I 153
d = 1.363 Å, 68.90 deg, I 156
d = 1.286 Å, 73.64 deg, I 154
d = 1.227 Å, 77.84 deg, I 105

---

# 9
TbPmGa2Ir2: simulated X-ray diffraction stick pattern (λ = 1.5418 Å (Cu Kα)), based on a PBE-relaxed structure.
Intensities are scaled so that the largest is 1000.

Structure:
```
TbPmGa2Ir2
1.0
4.4063 0.0000 0.0000
-2.2031 3.8160 0.0000
0.0000 0.0000 7.2931
Tb Pm Ga Ir
1 1 2 2
Direct
0.0000 0.0000 0.0000 Tb
0.0000 0.0000 0.5000 Pm
0.3333 0.6667 0.7625 Ga
0.6667 0.3333 0.2375 Ga
0.3333 0.6667 0.2381 Ir
0.6667 0.3333 0.7619 Ir
```

Peak list (10 most intense, 2θ from 15° to 90°, sorted by position)
d = 3.381 Å, 26.36 deg, I 236
d = 2.636 Å, 34.01 deg, I 1000
d = 2.203 Å, 40.96 deg, I 648
d = 1.823 Å, 50.03 deg, I 115
d = 1.691 Å, 54.26 deg, I 265
d = 1.405 Å, 66.57 deg, I 291
d = 1.341 Å, 70.17 deg, I 245
d = 1.272 Å, 74.61 deg, I 111
d = 1.158 Å, 83.45 deg, I 84
d = 1.102 Å, 88.83 deg, I 73

---

# 10
Pa2Ge2Rh: simulated X-ray diffraction stick pattern (λ = 1.5418 Å (Cu Kα)), based on a PBE-relaxed structure.
Intensities are scaled so that the largest is 1000.

Structure:
```
Pa2Ge2Rh
1.0
9.7068 0.0000 0.0000
0.0000 5.7054 0.0000
-1.5997 0.0000 7.5418
Pa Ge Rh
8 8 4
Direct
0.1150 0.1437 0.0812 Pa
0.1150 0.3563 0.5812 Pa
0.3379 0.6235 0.9933 Pa
0.3379 0.8765 0.4933 Pa
0.6621 0.1235 0.5067 Pa
0.6621 0.3765 0.0067 Pa
0.8850 0.6437 0.4188 Pa
0.8850 0.8563 0.9188 Pa
0.1162 0.6484 0.2158 Ge
0.1162 0.8516 0.7158 Ge
0.4423 0.0956 0.1733 Ge
0.4423 0.4044 0.6733 Ge
0.5577 0.5956 0.3267 Ge
0.5577 0.9044 0.8267 Ge
0.8838 0.1484 0.2842 Ge
0.8838 0.3516 0.7842 Ge
0.3217 0.1296 0.8500 Rh
0.3217 0.3704 0.3500 Rh
0.6783 0.6296 0.6500 Rh
0.6783 0.8704 0.1500 Rh
```

Peak list (10 most intense, 2θ from 15° to 90°, sorted by position)
d = 2.860 Å, 31.27 deg, I 314
d = 2.718 Å, 32.96 deg, I 463
d = 2.693 Å, 33.27 deg, I 333
d = 2.619 Å, 34.23 deg, I 329
d = 2.521 Å, 35.61 deg, I 1000
d = 2.456 Å, 36.58 deg, I 470
d = 2.435 Å, 36.91 deg, I 563
d = 2.374 Å, 37.90 deg, I 314
d = 2.118 Å, 42.69 deg, I 426
d = 1.826 Å, 49.94 deg, I 314

---

# 11
AsIr3: simulated X-ray diffraction stick pattern (λ = 1.5418 Å (Cu Kα)), based on a PBE-relaxed structure.
Intensities are scaled so that the largest is 1000.

Structure:
```
AsIr3
1.0
2.8518 0.0000 0.0000
0.0000 9.2786 0.0000
0.0000 0.0000 4.6022
As Ir
2 6
Direct
0.0000 0.0000 0.0000 As
0.5000 0.5000 0.5000 As
0.0000 0.2208 0.2755 Ir
0.0000 0.5000 0.0686 Ir
0.0000 0.7792 0.2755 Ir
0.5000 0.0000 0.5686 Ir
0.5000 0.2792 0.7755 Ir
0.5000 0.7208 0.7755 Ir
```

Peak list (10 most intense, 2θ from 15° to 90°, sorted by position)
d = 2.567 Å, 34.95 deg, I 387
d = 2.424 Å, 37.09 deg, I 1000
d = 2.320 Å, 38.82 deg, I 550
d = 2.149 Å, 42.06 deg, I 976
d = 2.097 Å, 43.15 deg, I 264
d = 2.061 Å, 43.92 deg, I 916
d = 1.676 Å, 54.77 deg, I 462
d = 1.297 Å, 72.93 deg, I 291
d = 1.289 Å, 73.49 deg, I 194
d = 1.173 Å, 82.20 deg, I 304

---

# 12
Mg2Mn3CoS8: simulated X-ray diffraction stick pattern (λ = 1.5418 Å (Cu Kα)), based on a PBE-relaxed structure.
Intensities are scaled so that the largest is 1000.

Structure:
```
Mg2Mn3CoS8
1.0
3.5770 2.0652 5.8522
-3.5770 2.0652 5.8522
0.0000 -4.1304 5.8522
Mg Mn Co S
2 3 1 8
Direct
0.1239 0.1239 0.1239 Mg
0.8761 0.8761 0.8761 Mg
0.0000 0.5000 0.5000 Mn
0.5000 0.0000 0.5000 Mn
0.5000 0.5000 0.0000 Mn
0.5000 0.5000 0.5000 Co
0.2620 0.2620 0.2620 S
0.2708 0.2708 0.7063 S
0.2708 0.7063 0.2708 S
0.2937 0.7292 0.7292 S
0.7063 0.2708 0.2708 S
0.7292 0.2937 0.7292 S
0.7292 0.7292 0.2937 S
0.7380 0.7380 0.7380 S
```

Peak list (10 most intense, 2θ from 15° to 90°, sorted by position)
d = 5.844 Å, 15.16 deg, I 862
d = 3.579 Å, 24.88 deg, I 105
d = 3.052 Å, 29.26 deg, I 736
d = 2.531 Å, 35.47 deg, I 1000
d = 1.948 Å, 46.62 deg, I 516
d = 1.790 Å, 51.03 deg, I 932
d = 1.711 Å, 53.55 deg, I 149
d = 1.461 Å, 63.71 deg, I 127
d = 1.265 Å, 75.06 deg, I 121
d = 1.132 Å, 85.81 deg, I 105